For AcSbOs, a DFT-relaxed cell (PBE, Alexandria) gives the calculated X-ray powder pattern in this record (Cu Kα X-rays).
No peak broadening, texture or thermal motion is included.

Main lines, sorted by position (2θ = 10–80°):
(hkl)	2θ (°)	intensity
0 2 2	20.39	29
1 1 3	24.79	19
2 0 2	25.29	30
2 2 2	29.36	67
1 3 3	32.59	100
3 1 1	33.26	50
2 2 4	38.61	37
1 5 1	39.50	67
1 3 5	43.74	37
4 4 4	60.92	25

Atomic structure:
Cell lengths 8.4991, 12.0674, 12.5857 Å; angles 90.00, 90.00, 90.00 degrees
Space group Fddd (No. 70, origin choice 2)
Symmetry-distinct sites (fractional):
Ac: 0.0000 0.0000 0.0000 [16 per cell]
Sb: 0.1250 0.1250 0.4911 [16 per cell]
Os: 0.1250 0.3041 0.6250 [16 per cell]

For AcSc2Os, a DFT-relaxed cell (PBE, Alexandria) gives the calculated X-ray powder pattern in this record (Cu Kα X-rays).
No peak broadening, texture or thermal motion is included.

Main lines, sorted by position (2θ = 10–80°):
(hkl)	2θ (°)	intensity
0 0 2	20.13	54
1 0 0	26.55	43
1 0 2	33.55	100
1 1 0	37.91	43
1 1 2	43.29	32
1 0 4	49.45	33
2 0 0	54.69	15
1 1 4	57.00	15
2 1 2	65.71	29
2 1 4	76.81	18

Atomic structure:
Cell lengths 3.3567, 3.3567, 8.8212 Å; angles 90.00, 90.00, 90.00 degrees
Space group P4/mmm (No. 123)
Symmetry-distinct sites (fractional):
Ac: 0.0000 0.0000 0.0000 [1 per cell]
Sc: 0.5000 0.5000 0.3306 [2 per cell]
Os: 0.0000 0.0000 0.5000 [1 per cell]

For AcScSi2Os, a DFT-relaxed cell (PBE, Alexandria) gives the calculated X-ray powder pattern in this record (Cu Kα X-rays).
No peak broadening, texture or thermal motion is included.

Main lines, sorted by position (2θ = 10–80°):
(hkl)	2θ (°)	intensity
1 0 1	22.41	66
0 0 4	31.37	23
1 0 3	31.64	47
1 1 2	33.83	100
2 0 0	42.74	32
1 0 5	45.16	20
2 0 4	53.97	20
2 1 3	54.14	21
1 1 6	57.43	20
3 1 2	72.56	22

Atomic structure:
Cell lengths 4.2316, 4.2316, 11.4052 Å; angles 90.00, 90.00, 90.00 degrees
Space group I-4m2 (No. 119)
Symmetry-distinct sites (fractional):
Ac: 0.0000 0.0000 0.0000 [2 per cell]
Sc: 0.0000 0.5000 0.7500 [2 per cell]
Si: 0.0000 0.0000 0.3856 [4 per cell]
Os: 0.0000 0.5000 0.2500 [2 per cell]

For Ac2Si5Os, a DFT-relaxed cell (PBE, Alexandria) gives the calculated X-ray powder pattern in this record (Cu Kα X-rays).
No peak broadening, texture or thermal motion is included.

Main lines, sorted by position (2θ = 10–80°):
(hkl)	2θ (°)	intensity
1 0 1	17.48	24
1 1 2	28.19	100
2 0 0	29.80	40
2 1 1	34.76	15
2 0 2	35.39	31
2 2 0	42.65	27
1 1 4	43.62	19
3 1 2	51.91	35
2 2 4	58.29	15
3 1 4	62.65	14

Atomic structure:
Cell lengths 5.9960, 5.9960, 9.5185 Å; angles 90.00, 90.00, 90.00 degrees
Space group I4mm (No. 107)
Symmetry-distinct sites (fractional):
Ac: 0.0000 0.5000 0.0000 [4 per cell]
Si: 0.0000 0.0000 0.4414 [2 per cell]
Si: 0.2103 0.2103 0.2478 [8 per cell]
Os: 0.0000 0.0000 0.6957 [2 per cell]

For Ac2Si4Os5, a DFT-relaxed cell (PBE, Alexandria) gives the calculated X-ray powder pattern in this record (Cu Kα X-rays).
No peak broadening, texture or thermal motion is included.

Main lines, sorted by position (2θ = 10–80°):
(hkl)	2θ (°)	intensity
1 1 3	26.91	51
0 2 4	32.59	58
0 4 0	33.93	49
2 2 0	34.37	100
1 3 3	36.23	39
2 0 4	41.14	42
2 2 4	44.72	16
2 4 4	54.35	26
2 6 0	61.00	24
2 2 8	68.54	27

Atomic structure:
Cell lengths 5.9999, 10.5690, 12.8676 Å; angles 90.00, 90.00, 90.00 degrees
Space group Fmmm (No. 69)
Symmetry-distinct sites (fractional):
Ac: 0.0000 0.0000 0.1328 [8 per cell]
Si: 0.0000 0.1565 0.3695 [16 per cell]
Os: 0.0000 0.0000 0.5000 [4 per cell]
Os: 0.2500 0.2500 0.0000 [8 per cell]
Os: 0.2500 0.2500 0.2500 [8 per cell]

For AcSi7Os3, a DFT-relaxed cell (PBE, Alexandria) gives the calculated X-ray powder pattern in this record (Cu Kα X-rays).
No peak broadening, texture or thermal motion is included.

Main lines, sorted by position (2θ = 10–80°):
(hkl)	2θ (°)	intensity
0 1 2	15.77	20
1 1 3	26.43	100
1 1 6	34.97	53
2 1 4	39.62	17
3 0 0	40.31	48
1 1 9	46.16	34
2 2 3	48.84	28
4 1 3	65.12	20
3 0 12	69.08	23
1 4 6	69.84	18

Atomic structure:
Cell lengths 7.7513, 7.7513, 20.5429 Å; angles 90.00, 90.00, 120.00 degrees
Space group R-3c (No. 167, hexagonal axes)
Symmetry-distinct sites (fractional):
Ac: 0.0000 0.0000 0.0000 [6 per cell]
Si: 0.0000 0.0000 0.2500 [6 per cell]
Si: 0.0061 0.1957 0.1406 [36 per cell]
Os: 0.0000 0.3284 0.2500 [18 per cell]